Theoretical X-ray powder pattern
Compound: Li3Mn8O4F12
Radiation: copper Kα
Structure: the PBE+U geometry in Alexandria
Neutral-atom scattering factors, no anomalous dispersion.

The 8 most intense peaks (2θ = 10–90°), most intense first:
2θ 41.8, 2.159 Å, intensity 100; 2θ 39.7, 2.272 Å, intensity 59; 2θ 18.2, 4.886 Å, intensity 47; 2θ 57.7, 1.599 Å, intensity 35; 2θ 19.5, 4.544 Å, intensity 33; 2θ 17.3, 5.124 Å, intensity 31; 2θ 60.4, 1.534 Å, intensity 27; 2θ 33.7, 2.658 Å, intensity 21

```
27
Lattice="5.601 -3.102 0.000 5.601 3.102 0.000 -4.161 0.000 9.772" Properties=species:S:1:pos:R:3 pbc="T T T"
Li 0.000 0.000 0.000
Li -0.304 0.000 5.651
Li 7.345 0.000 4.121
Mn 2.801 1.551 0.000
Mn 4.539 1.547 2.412
Mn 2.503 1.547 7.361
Mn 1.809 0.000 2.715
Mn 2.801 -1.551 0.000
Mn 5.232 0.000 7.058
Mn 4.539 -1.547 2.412
Mn 2.503 -1.547 7.361
O -2.331 0.000 8.683
O 3.487 0.000 1.283
O 3.554 0.000 8.490
O 9.372 0.000 1.090
F 0.615 1.734 8.461
F 2.754 1.614 3.611
F -0.133 0.000 3.675
F 6.426 1.734 1.311
F 4.287 1.614 6.161
F 1.533 0.000 6.276
F 5.508 0.000 3.496
F 2.754 -1.614 3.611
F 0.615 -1.734 8.461
F 7.175 0.000 6.097
F 4.287 -1.614 6.161
F 6.426 -1.734 1.311
```